[1]
# KNa8Ga4
Theoretical X-ray diffraction stick pattern, Cu Kα (weighted mean of Kα1 and Kα2). Input: the GGA-PBE geometry in Alexandria.
Peak positions follow from Bragg's law for the DFT cell and can differ from measured ones.

The 8 most intense peaks (2θ from 15° to 90°), low angle first:
d/Å	2theta	Rel. int.
5.604	15.81	100.0
3.963	22.44	37.4
2.802	31.94	72.8
2.749	32.58	28.2
2.605	34.43	82.7
2.506	35.83	54.8
2.362	38.10	69.8
1.908	47.67	36.0

Atomic structure:
Lattice parameters (Å, degrees): 8.4537 8.4537 8.4537 96.96 96.96 139.27
Atoms (fractional coordinates):
K: 0.0000 0.0000 0.0000
Na: 0.0000 0.3405 0.3405
Na: 0.0000 0.6595 0.6595
Na: 0.2783 0.5000 0.7783
Na: 0.3405 0.0000 0.3405
Na: 0.5000 0.2783 0.7783
Na: 0.5000 0.7217 0.2217
Na: 0.6595 0.0000 0.6595
Na: 0.7217 0.5000 0.2217
Ga: 0.0000 0.0000 0.5000
Ga: 0.0000 0.5000 0.0000
Ga: 0.5000 0.0000 0.0000
Ga: 0.5000 0.5000 0.5000



[2]
# Ag4RhF8
Theoretical X-ray diffraction stick pattern, Cu Kα (weighted mean of Kα1 and Kα2). Input: the GGA-PBE geometry in Alexandria.
Peak positions follow from Bragg's law for the DFT cell and can differ from measured ones.

The 8 most intense peaks (2θ from 15° to 90°), low angle first:
d/Å	2theta	Rel. int.
5.809	15.25	67.3
5.611	15.79	39.7
2.921	30.60	42.2
2.806	31.90	55.0
2.450	36.68	100.0
2.258	39.93	22.3
1.755	52.11	30.0
1.711	53.56	29.5

Atomic structure:
Lattice parameters (Å, degrees): 7.0250 7.0250 7.0250 58.30 58.30 58.30
Atoms (fractional coordinates):
Ag: 0.0000 0.0000 0.0000
Ag: 0.0000 0.5000 0.5000
Ag: 0.5000 0.0000 0.5000
Ag: 0.5000 0.5000 0.0000
Rh: 0.5000 0.5000 0.5000
F: 0.2756 0.2756 0.2756
F: 0.2963 0.2963 0.7026
F: 0.2963 0.7026 0.2963
F: 0.2974 0.7037 0.7037
F: 0.7026 0.2963 0.2963
F: 0.7037 0.2974 0.7037
F: 0.7037 0.7037 0.2974
F: 0.7244 0.7244 0.7244



[3]
# Ac2ReO8
Theoretical X-ray diffraction stick pattern, Cu Kα (weighted mean of Kα1 and Kα2). Input: the GGA-PBE geometry in Alexandria.
Peak positions follow from Bragg's law for the DFT cell and can differ from measured ones.

The 8 most intense peaks (2θ from 15° to 90°), low angle first:
d/Å	2theta	Rel. int.
4.644	19.11	100.0
3.795	23.44	82.6
3.282	27.17	98.0
3.013	29.65	25.9
2.708	33.09	42.4
2.653	33.78	38.3
2.077	43.57	31.8
1.925	47.21	26.3

Atomic structure:
Lattice parameters (Å, degrees): 6.6512 6.6512 4.6502 91.62 91.62 110.32
Atoms (fractional coordinates):
Ac: 0.1791 0.8209 0.0000
Ac: 0.8209 0.1791 0.0000
Re: 0.5062 0.5062 0.1300
O: 0.2191 0.4579 0.0344
O: 0.2212 0.9123 0.5059
O: 0.4579 0.2191 0.0344
O: 0.5141 0.5141 0.5019
O: 0.5536 0.7932 0.0407
O: 0.7932 0.5536 0.0407
O: 0.9123 0.2212 0.5059
O: 0.9974 0.9974 0.5007



[4]
# Ac3La2Zn3
Theoretical X-ray diffraction stick pattern, Cu Kα (weighted mean of Kα1 and Kα2). Input: the GGA-PBE geometry in Alexandria.
Peak positions follow from Bragg's law for the DFT cell and can differ from measured ones.

The 8 most intense peaks (2θ from 15° to 90°), low angle first:
d/Å	2theta	Rel. int.
3.861	23.03	11.5
3.572	24.93	18.6
2.888	30.96	17.0
2.810	31.84	100.0
2.016	44.97	12.3
1.652	55.64	9.2
1.624	56.68	15.5
1.607	57.32	8.0

Atomic structure:
Lattice parameters (Å, degrees): 12.0517 12.0517 12.0517 161.30 152.99 33.06
Atoms (fractional coordinates):
Ac: 0.0000 0.0000 0.0000
Ac: 0.3818 0.8818 0.5000
Ac: 0.6182 0.1182 0.5000
La: 0.2302 0.2302 0.0000
La: 0.7698 0.7698 0.0000
Zn: 0.1200 0.6200 0.5000
Zn: 0.5000 0.5000 0.0000
Zn: 0.8800 0.3800 0.5000



[5]
# Ag2Pd2Au3
Theoretical X-ray diffraction stick pattern, Cu Kα (weighted mean of Kα1 and Kα2). Input: the GGA-PBE geometry in Alexandria.
Peak positions follow from Bragg's law for the DFT cell and can differ from measured ones.

The 8 most intense peaks (2θ from 15° to 90°), low angle first:
d/Å	2theta	Rel. int.
3.756	23.69	16.8
2.800	31.96	25.4
2.380	37.79	100.0
2.375	37.88	37.0
2.303	39.12	46.2
2.039	44.44	19.7
1.814	50.31	29.4
1.207	79.40	23.1

Atomic structure:
Lattice parameters (Å, degrees): 4.6056 2.8004 9.9981 90.00 103.23 90.00
Atoms (fractional coordinates):
Ag: 0.0760 0.0000 0.1515
Ag: 0.9240 0.0000 0.8485
Pd: 0.3607 0.5000 0.7221
Pd: 0.6393 0.5000 0.2779
Au: 0.2121 0.5000 0.4242
Au: 0.5000 0.5000 0.0000
Au: 0.7879 0.5000 0.5758



[6]
# BaMgAg4O8
Theoretical X-ray diffraction stick pattern, Cu Kα (weighted mean of Kα1 and Kα2). Input: the GGA-PBE geometry in Alexandria.
Peak positions follow from Bragg's law for the DFT cell and can differ from measured ones.

The 8 most intense peaks (2θ from 15° to 90°), low angle first:
d/Å	2theta	Rel. int.
4.107	21.64	23.1
2.930	30.51	62.9
2.879	31.06	100.0
2.054	44.10	27.2
1.850	49.26	22.3
1.672	54.92	27.1
1.662	55.26	25.0
1.533	60.40	16.9

Atomic structure:
Lattice parameters (Å, degrees): 5.7581 5.7581 7.2419 90.00 90.00 120.00
Atoms (fractional coordinates):
Ba: 0.0000 0.0000 0.0000
Mg: 0.0000 0.0000 0.5000
Ag: 0.3333 0.6667 0.2868
Ag: 0.3333 0.6667 0.7132
Ag: 0.6667 0.3333 0.2868
Ag: 0.6667 0.3333 0.7132
O: 0.0000 0.2802 0.3162
O: 0.0000 0.7198 0.6838
O: 0.2802 0.0000 0.3162
O: 0.2802 0.2802 0.6838
O: 0.3333 0.6667 0.0000
O: 0.6667 0.3333 0.0000
O: 0.7198 0.0000 0.6838
O: 0.7198 0.7198 0.3162



[7]
# SmHoCo3
Theoretical X-ray diffraction stick pattern, Cu Kα (weighted mean of Kα1 and Kα2). Input: the GGA-PBE geometry in Alexandria.
Peak positions follow from Bragg's law for the DFT cell and can differ from measured ones.

The 8 most intense peaks (2θ from 15° to 90°), low angle first:
d/Å	2theta	Rel. int.
3.237	27.56	29.2
2.662	33.67	100.0
2.587	34.68	65.0
2.065	43.85	27.0
1.995	45.45	28.2
1.949	46.59	22.6
1.557	59.37	27.0
1.435	64.99	18.6

Atomic structure:
Lattice parameters (Å, degrees): 11.7964 11.7964 3.8985 90.00 90.00 159.84
Atoms (fractional coordinates):
Sm: 0.0711 0.9289 0.7500
Sm: 0.9289 0.0711 0.2500
Ho: 0.2054 0.7946 0.2500
Ho: 0.7946 0.2054 0.7500
Co: 0.3307 0.6693 0.2500
Co: 0.3779 0.6221 0.7500
Co: 0.4758 0.5242 0.7500
Co: 0.5242 0.4758 0.2500
Co: 0.6221 0.3779 0.2500
Co: 0.6693 0.3307 0.7500



[8]
# VOs6Ru2
Theoretical X-ray diffraction stick pattern, Cu Kα (weighted mean of Kα1 and Kα2). Input: the GGA-PBE geometry in Alexandria.
Peak positions follow from Bragg's law for the DFT cell and can differ from measured ones.

The 8 most intense peaks (2θ from 15° to 90°), low angle first:
d/Å	2theta	Rel. int.
4.201	21.15	24.4
2.338	38.51	22.1
2.234	40.38	25.4
2.180	41.41	22.8
2.173	41.57	32.3
2.091	43.26	100.0
1.987	45.66	21.5
1.979	45.86	28.7

Atomic structure:
Lattice parameters (Å, degrees): 7.0525 7.0525 7.5393 122.30 122.30 73.69
Atoms (fractional coordinates):
V: 0.9996 0.0004 0.2500
V: 0.0004 0.9996 0.7500
Os: 0.1350 0.2853 0.2100
Os: 0.1953 0.5005 0.0310
Os: 0.1953 0.5007 0.6649
Os: 0.2853 0.1350 0.7100
Os: 0.4995 0.8047 0.4690
Os: 0.4993 0.8047 0.8351
Os: 0.5007 0.1953 0.1649
Os: 0.5005 0.1953 0.5310
Os: 0.7147 0.8650 0.2900
Os: 0.8047 0.4993 0.3351
Os: 0.8047 0.4995 0.9690
Os: 0.8650 0.7147 0.7900
Ru: 0.1307 0.7219 0.4261
Ru: 0.2781 0.8693 0.0739
Ru: 0.7219 0.1307 0.9261
Ru: 0.8693 0.2781 0.5739



[9]
# LiCaCd5
Theoretical X-ray diffraction stick pattern, Cu Kα (weighted mean of Kα1 and Kα2). Input: the GGA-PBE geometry in Alexandria.
Peak positions follow from Bragg's law for the DFT cell and can differ from measured ones.

The 8 most intense peaks (2θ from 15° to 90°), low angle first:
d/Å	2theta	Rel. int.
5.035	17.61	31.6
4.607	19.27	47.3
2.636	34.01	100.0
2.518	35.66	90.6
2.303	39.11	34.1
2.196	41.11	58.4
1.589	58.03	40.3
1.355	69.38	22.4

Atomic structure:
Lattice parameters (Å, degrees): 5.5011 5.5011 6.4280 90.00 90.00 113.75
Atoms (fractional coordinates):
Li: 0.0000 0.0000 0.0000
Ca: 0.5000 0.5000 0.5000
Cd: 0.0000 0.5000 0.2413
Cd: 0.0000 0.5000 0.7587
Cd: 0.5000 0.0000 0.2413
Cd: 0.5000 0.0000 0.7587
Cd: 0.5000 0.5000 0.0000



[10]
# In4CuNi
Theoretical X-ray diffraction stick pattern, Cu Kα (weighted mean of Kα1 and Kα2). Input: the GGA-PBE geometry in Alexandria.
Peak positions follow from Bragg's law for the DFT cell and can differ from measured ones.

The 8 most intense peaks (2θ from 15° to 90°), low angle first:
d/Å	2theta	Rel. int.
2.839	31.52	100.0
2.783	32.17	22.5
2.387	37.69	34.2
2.302	39.13	79.9
2.123	42.59	52.7
2.076	43.60	49.1
1.398	66.92	19.8
1.352	69.51	30.2

Atomic structure:
Lattice parameters (Å, degrees): 7.2472 7.2472 7.2472 126.14 126.14 79.66
Atoms (fractional coordinates):
In: 0.0342 0.5342 0.8347
In: 0.1996 0.0342 0.5000
In: 0.3004 0.8004 0.8347
In: 0.4658 0.3004 0.5000
In: 0.5342 0.6996 0.5000
In: 0.6996 0.1996 0.1653
In: 0.8004 0.9658 0.5000
In: 0.9658 0.4658 0.1653
Cu: 0.0000 0.0000 0.0000
Cu: 0.5000 0.5000 0.0000
Ni: 0.2500 0.2500 0.0000
Ni: 0.7500 0.7500 0.0000



[11]
# CaGa2HgI8
Theoretical X-ray diffraction stick pattern, Cu Kα (weighted mean of Kα1 and Kα2). Input: the GGA-PBE geometry in Alexandria.
Peak positions follow from Bragg's law for the DFT cell and can differ from measured ones.

The 8 most intense peaks (2θ from 15° to 90°), low angle first:
d/Å	2theta	Rel. int.
5.344	16.59	35.8
4.203	21.14	37.7
3.585	24.83	100.0
3.217	27.73	64.0
2.410	37.31	24.8
2.159	41.84	39.6
2.091	43.27	16.9
1.921	47.33	26.2

Atomic structure:
Lattice parameters (Å, degrees): 13.3287 13.3287 13.3287 32.59 32.59 32.59
Atoms (fractional coordinates):
Ca: 0.0000 0.0000 0.0000
Ga: 0.2600 0.2600 0.2600
Ga: 0.7400 0.7400 0.7400
Hg: 0.5000 0.5000 0.5000
I: 0.0528 0.3913 0.7048
I: 0.1937 0.1937 0.1937
I: 0.2952 0.9472 0.6087
I: 0.3913 0.7048 0.0528
I: 0.6087 0.2952 0.9472
I: 0.7048 0.0528 0.3913
I: 0.8063 0.8063 0.8063
I: 0.9472 0.6087 0.2952



[12]
# LiTlZnGe
Theoretical X-ray diffraction stick pattern, Cu Kα (weighted mean of Kα1 and Kα2). Input: the GGA-PBE geometry in Alexandria.
Peak positions follow from Bragg's law for the DFT cell and can differ from measured ones.

The 8 most intense peaks (2θ from 15° to 90°), low angle first:
d/Å	2theta	Rel. int.
3.417	26.08	44.3
3.054	29.24	26.0
2.416	37.22	100.0
1.972	46.01	14.6
1.706	53.71	12.2
1.657	55.44	9.3
1.527	60.65	12.1
1.394	67.15	22.9

Atomic structure:
Lattice parameters (Å, degrees): 3.4129 3.4129 6.8465 90.00 90.00 90.00
Atoms (fractional coordinates):
Li: 0.0000 0.0000 0.0000
Tl: 0.5000 0.5000 0.2883
Zn: 0.0000 0.0000 0.5843
Ge: 0.5000 0.5000 0.7706